This entry pairs a crystal structure of CePm6Y with its computed X-ray powder pattern. Radiation: Cu Ka. Structure: a crystal structure in Alexandria, relaxed with PBE.

Atomic structure:
```
data_CePm6Y
_cell_length_a 5.1285
_cell_length_b 5.1285
_cell_length_c 10.2472
_cell_angle_alpha 90.00
_cell_angle_beta 90.00
_cell_angle_gamma 90.00
_space_group_name_H-M_alt 'P 4/m m m'
_space_group_IT_number 123
_space_group_name_Hall '-P 4 2'
loop_
_atom_site_label
_atom_site_type_symbol
_atom_site_fract_x
_atom_site_fract_y
_atom_site_fract_z
Ce1 Ce 0.0000 0.0000 0.0000
Pm1 Pm 0.0000 0.5000 0.2478
Pm2 Pm 0.5000 0.5000 0.0000
Pm3 Pm 0.5000 0.5000 0.5000
Y1 Y 0.0000 0.0000 0.5000
```

Most intense lines, 10° ≤ 2θ ≤ 90°, in order of rising 2θ:
30.2 deg, 2.960 Å, rel. 100, (1 1 2)
35.0 deg, 2.563 Å, rel. 51, (2 0 0)
50.3 deg, 1.813 Å, rel. 36, (2 2 0)
59.8 deg, 1.546 Å, rel. 43, (3 1 2)
81.9 deg, 1.176 Å, rel. 17, (3 3 2)
84.5 deg, 1.146 Å, rel. 16, (4 2 0)

---

This entry pairs a crystal structure of Ni5AgTe8 with its computed X-ray powder pattern. Radiation: Cu Ka. Structure: a crystal structure in Alexandria, relaxed with PBE.

Atomic structure:
```
data_Ni5AgTe8
_cell_length_a 10.9381
_cell_length_b 10.9381
_cell_length_c 10.9381
_cell_angle_alpha 90.00
_cell_angle_beta 90.00
_cell_angle_gamma 90.00
_space_group_name_H-M_alt 'F -4 3 m'
_space_group_IT_number 216
_space_group_name_Hall 'F -4 2 3'
loop_
_atom_site_label
_atom_site_type_symbol
_atom_site_fract_x
_atom_site_fract_y
_atom_site_fract_z
Ni1 Ni 0.0000 0.0000 0.0000
Ni2 Ni 0.1258 0.1258 0.6258
Ag1 Ag 0.2500 0.2500 0.2500
Te1 Te 0.1089 0.1089 0.3911
Te2 Te 0.1341 0.1341 0.8659
```

Most intense lines, 10° ≤ 2θ ≤ 90°, in order of rising 2θ:
27.0 deg, 3.298 Å, rel. 26, (3 1 1)
28.3 deg, 3.158 Å, rel. 74, (2 2 2)
32.7 deg, 2.735 Å, rel. 83, (4 0 0)
43.0 deg, 2.105 Å, rel. 40, (5 1 1)
47.0 deg, 1.934 Å, rel. 100, (4 4 0)
55.7 deg, 1.649 Å, rel. 25, (6 2 2)